K2UF6: theoretical X-ray powder pattern (Cu Kα, 1.54184 Å), based on a DFT-relaxed cell (PBE, the Materials Project).

Principal peaks in the range 2θ = 5–70°, low angle first:
| two_theta | d [Å] | I_rel |
| --- | --- | --- |
| 14.54 | 6.091 | 1000 |
| 16.65 | 5.324 | 222 |
| 18.93 | 4.689 | 492 |
| 25.50 | 3.493 | 392 |
| 25.63 | 3.475 | 401 |
| 25.91 | 3.438 | 209 |
| 26.02 | 3.425 | 782 |
| 29.57 | 3.021 | 228 |
| 42.89 | 2.109 | 519 |
| 43.05 | 2.101 | 312 |

Atomic structure:
Unit cell a=7.297 b=7.297 c=7.312 alpha=98.46 beta=98.46 gamma=120.20
Element x y z (fractional)
K (0.088, 0.912, 0.750)
K (0.244, 0.756, 0.250)
K (0.756, 0.244, 0.750)
K (0.912, 0.088, 0.250)
U (0.420, 0.580, 0.750)
U (0.580, 0.420, 0.250)
F (0.106, 0.260, 0.633)
F (0.178, 0.623, 0.876)
F (0.260, 0.106, 0.133)
F (0.337, 0.473, 0.390)
F (0.377, 0.822, 0.624)
F (0.473, 0.337, 0.890)
F (0.527, 0.663, 0.110)
F (0.623, 0.178, 0.376)
F (0.663, 0.527, 0.610)
F (0.740, 0.894, 0.867)
F (0.822, 0.377, 0.124)
F (0.894, 0.740, 0.367)